Theoretical XRD peak list
Compound: LiGa6Ni8
Radiation: Cu Kα (weighted mean of Kα1 and Kα2)
Structure: a crystal structure in Alexandria, relaxed with GGA-PBE
Kinematic intensities with the Lorentz-polarization factor, no thermal factor.

Peak list (6 most intense, 2θ from 10° to 90°, in order of rising 2θ)
2θ (°), d/Å, intensity
25.54, 3.488, 40
45.02, 2.014, 100
45.48, 1.994, 96
65.92, 1.417, 29
83.40, 1.159, 29
84.38, 1.148, 17

Structural model:
```
LiGa6Ni8
1.0
3.488 2.014 4.863
-3.488 2.014 4.863
0.000 -4.027 4.863
Li Ga Ni
1 6 8
direct
0.000 0.000 0.000 Li
0.071 0.400 0.720 Ga
0.280 0.929 0.600 Ga
0.400 0.720 0.071 Ga
0.600 0.280 0.929 Ga
0.720 0.071 0.400 Ga
0.929 0.600 0.280 Ga
0.100 0.783 0.444 Ni
0.217 0.556 0.900 Ni
0.331 0.331 0.331 Ni
0.444 0.100 0.783 Ni
0.556 0.900 0.217 Ni
0.669 0.669 0.669 Ni
0.783 0.444 0.100 Ni
0.900 0.217 0.556 Ni
```